[1]
Structure and computed X-ray diffraction stick pattern of YTiFe11N (a structure optimized by DFT (GGA-PBE); Cu Kα X-rays).

Most intense lines, 5° ≤ 2θ ≤ 70°, in order of falling intensity:
2θ 42.3, d = 2.137 Å, intensity 100, hkl 0 0 4; 2θ 43.1, d = 2.097 Å, intensity 93, hkl 2 0 2; 2θ 48.3, d = 1.884 Å, intensity 54, hkl 2 2 2; 2θ 42.4, d = 2.131 Å, intensity 50, hkl 1 2 3; 2θ 42.0, d = 2.151 Å, intensity 39, hkl 0 4 0; 2θ 47.5, d = 1.915 Å, intensity 29, hkl 0 2 4

```
data_YTiFe11N
_symmetry_space_group_name_H-M 'I m m 2'
_symmetry_Int_Tables_number 44
_cell_length_a 4.808
_cell_length_b 8.605
_cell_length_c 8.559
_cell_angle_alpha 90.00
_cell_angle_beta 90.00
_cell_angle_gamma 90.00
loop_
_symmetry_equiv_pos_as_xyz
'x,y,z'
'-x,-y,z'
'-x,y,z'
'x,-y,z'
'x+1/2,y+1/2,z+1/2'
'-x+1/2,-y+1/2,z+1/2'
'-x+1/2,y+1/2,z+1/2'
'x+1/2,-y+1/2,z+1/2'
loop_
_atom_site_label
_atom_site_fract_x
_atom_site_fract_y
_atom_site_fract_z
Y1 0.000 0.000 0.000
Ti1 0.000 0.000 0.372
Fe1 0.000 0.000 0.649
Fe2 0.000 0.277 0.509
Fe3 0.000 0.359 0.007
Fe4 0.000 0.500 0.281
Fe5 0.000 0.500 0.729
Fe6 0.249 0.248 0.756
N1 0.000 0.500 0.505
```

[2]
Structure and computed X-ray diffraction stick pattern of Y2Ti2Fe22N (a structure optimized by DFT (GGA-PBE); Cu Kα X-rays).

Most intense lines, 5° ≤ 2θ ≤ 70°, in order of falling intensity:
2θ 43.5, d = 2.083 Å, intensity 100, hkl 2 2 2; 2θ 42.5, d = 2.125 Å, intensity 96, hkl 1 1 -5; 2θ 48.6, d = 1.873 Å, intensity 62, hkl 4 2 0; 2θ 42.4, d = 2.134 Å, intensity 47, hkl 4 0 4; 2θ 42.2, d = 2.143 Å, intensity 43, hkl 4 0 -4; 2θ 42.6, d = 2.121 Å, intensity 28, hkl 1 1 5

```
data_Y2Ti2Fe22N
_symmetry_space_group_name_H-M 'C 1 m 1'
_symmetry_Int_Tables_number 8
_cell_length_a 12.109
_cell_length_b 4.769
_cell_length_c 12.085
_cell_angle_alpha 90.00
_cell_angle_beta 90.26
_cell_angle_gamma 90.00
loop_
_symmetry_equiv_pos_as_xyz
'x,y,z'
'x,-y,z'
'x+1/2,y+1/2,z'
'x+1/2,-y+1/2,z'
loop_
_atom_site_label
_atom_site_fract_x
_atom_site_fract_y
_atom_site_fract_z
Y1 0.000 0.000 0.000
Y2 0.000 0.500 0.500
Ti1 0.313 0.000 0.314
Ti2 0.313 0.500 0.812
Fe1 0.106 0.500 0.883
Fe2 0.108 0.000 0.386
Fe3 0.109 0.500 0.111
Fe4 0.113 0.000 0.611
Fe5 0.174 0.000 0.176
Fe6 0.175 0.500 0.674
Fe7 0.176 0.000 0.817
Fe8 0.176 0.500 0.318
Fe9 0.246 0.250 0.998
Fe10 0.246 0.251 0.498
Fe11 0.317 0.500 0.177
Fe12 0.318 0.000 0.675
Fe13 0.383 0.500 0.385
Fe14 0.384 0.500 0.606
Fe15 0.385 0.000 0.107
Fe16 0.386 0.000 0.884
Fe17 0.498 0.249 0.742
Fe18 0.498 0.250 0.250
N1 0.497 0.000 0.997
```

[3]
Structure and computed X-ray diffraction stick pattern of VFeN2 (a structure optimized by DFT (GGA-PBE); Cu Kα X-rays).

Most intense lines, 5° ≤ 2θ ≤ 70°, in order of falling intensity:
2θ 41.0, d = 2.199 Å, intensity 100, hkl 1 0 2; 2θ 46.0, d = 1.973 Å, intensity 33, hkl 1 0 3; 2θ 66.0, d = 1.415 Å, intensity 26, hkl 1 1 0; 2θ 36.0, d = 2.494 Å, intensity 23, hkl 0 0 4; 2θ 68.1, d = 1.376 Å, intensity 19, hkl 1 0 6; 2θ 52.3, d = 1.748 Å, intensity 14, hkl 1 0 4

```
data_VFeN2
_symmetry_space_group_name_H-M 'P 63/m m c'
_symmetry_Int_Tables_number 194
_symmetry_space_group_name_Hall '-P 6c 2c'
_cell_length_a 2.8294
_cell_length_b 2.8294
_cell_length_c 9.9776
_cell_angle_alpha 90.00
_cell_angle_beta 90.00
_cell_angle_gamma 120.00
loop_
_atom_site_label
_atom_site_fract_x
_atom_site_fract_y
_atom_site_fract_z
V1 0.3333 0.6667 0.2500
Fe1 0.0000 0.0000 0.0000
N1 0.3333 0.6667 0.6263
```